For Y4Ag2Hg3, the PBE geometry in Alexandria gives the computed powder X-ray diffraction pattern in this record (Cu Ka).
Intensities are scaled so that the largest is 100.

Structural model:
Unit cell a=5.119 b=5.119 c=9.766 alpha=90.00 beta=90.00 gamma=120.00
Atoms (fractional coordinates):
Y  0.000  0.000  0.170
Y  0.000  0.000  0.830
Y  0.333  0.667  0.388
Y  0.667  0.333  0.612
Ag  0.333  0.667  0.707
Ag  0.667  0.333  0.293
Hg  0.000  0.000  0.500
Hg  0.333  0.667  0.052
Hg  0.667  0.333  0.948

Top 6 peaks for 2θ = 10–90°, by angle:
2.624 Å, 2θ = 34.2°, intensity 100
2.559 Å, 2θ = 35.1°, intensity 95
1.832 Å, 2θ = 49.8°, intensity 34
1.528 Å, 2θ = 60.6°, intensity 18
1.490 Å, 2θ = 62.3°, intensity 35
1.478 Å, 2θ = 62.9°, intensity 17

=====

For YAg2Hg, the PBE geometry in Alexandria gives the computed powder X-ray diffraction pattern in this record (Cu Ka).
Intensities are scaled so that the largest is 100.

Structural model:
Unit cell a=5.193 b=5.193 c=5.193 alpha=127.18 beta=127.18 gamma=77.96
Atoms (fractional coordinates):
Y  0.000  0.000  0.000
Ag  0.250  0.750  0.500
Ag  0.750  0.250  0.500
Hg  0.500  0.500  0.000

Top 6 peaks for 2θ = 10–90°, by angle:
4.010 Å, 2θ = 22.2°, intensity 14
2.539 Å, 2θ = 35.3°, intensity 100
2.310 Å, 2θ = 39.0°, intensity 38
1.633 Å, 2θ = 56.3°, intensity 13
1.520 Å, 2θ = 61.0°, intensity 20
1.374 Å, 2θ = 68.3°, intensity 28